Diffraction record for Li2V2SiGeO10. The powder XRD pattern is computed, not measured: it uses a cell relaxed with PBE+U and Cu Kα.
No peak broadening, texture or thermal motion is included.

Top 12 peaks for 2θ = 15–90°, in order of falling intensity:
2θ/deg  I (rel.)  hkl
18.88  100  1 0 0
27.82  99  0 2 2
33.84  80  1 2 2
23.46  37  1 1 1
57.49  24  0 4 4
40.89  16  2 1 1
68.10  15  1 6 2
44.56  14  1 0 4
46.68  13  1 3 3
61.07  13  1 4 4
44.16  11  1 4 0
56.21  9  2 4 0

Structural model:
```
data_Li2V2SiGeO10
_chemical_formula_sum 'Li4 V4 Si2 Ge2 O20'
_symmetry_space_group_name_H-M 'P 1'
_symmetry_Int_Tables_number 1
_symmetry_space_group_name_Hall 'P 1'
_cell_length_a 4.7011
_cell_length_b 9.1179
_cell_length_c 9.0209
_cell_angle_alpha 90.00
_cell_angle_beta 90.00
_cell_angle_gamma 90.00
loop_
_atom_site_label
_atom_site_type_symbol
_atom_site_fract_x
_atom_site_fract_y
_atom_site_fract_z
Li1 Li 0.0000 0.2417 0.2500
Li2 Li 0.0000 0.2417 0.7500
Li3 Li 0.0000 0.7583 0.2500
Li4 Li 0.0000 0.7583 0.7500
V1 V 0.3930 0.2449 0.0000
V2 V 0.3930 0.7551 0.5000
V3 V 0.6070 0.2449 0.5000
V4 V 0.6070 0.7551 0.0000
Si1 Si 0.5000 0.0000 0.2500
Si2 Si 0.5000 0.0000 0.7500
Ge1 Ge 0.5000 0.5000 0.2500
Ge2 Ge 0.5000 0.5000 0.7500
O1 O 0.2599 0.2492 0.5000
O2 O 0.2599 0.7508 0.0000
O3 O 0.2761 0.3839 0.1448
O4 O 0.2761 0.3839 0.8552
O5 O 0.2761 0.6161 0.3552
O6 O 0.2761 0.6161 0.6448
O7 O 0.2929 0.1046 0.1477
O8 O 0.2929 0.1046 0.8523
O9 O 0.2929 0.8954 0.3523
O10 O 0.2929 0.8954 0.6477
O11 O 0.7071 0.1046 0.3523
O12 O 0.7071 0.1046 0.6477
O13 O 0.7071 0.8954 0.1477
O14 O 0.7071 0.8954 0.8523
O15 O 0.7239 0.3839 0.3552
O16 O 0.7239 0.3839 0.6448
O17 O 0.7239 0.6161 0.1448
O18 O 0.7239 0.6161 0.8552
O19 O 0.7401 0.2492 0.0000
O20 O 0.7401 0.7508 0.5000
```